No. 1
Diffraction record for Tl2ZnBr4. The powder diffractogram is computed, not measured: it uses DFT lattice parameters and positions (PBE) and CuKα.

Top 12 peaks for 2θ = 10–90°, low angle first:
| 2θ (°) | intensity |
| --- | --- |
| 16.95 | 72 |
| 23.14 | 49 |
| 23.40 | 47 |
| 26.86 | 52 |
| 27.11 | 49 |
| 29.31 | 67 |
| 29.54 | 66 |
| 30.98 | 100 |
| 34.29 | 66 |
| 37.28 | 32 |
| 39.23 | 41 |
| 39.67 | 33 |

Crystal structure
```
data_Tl2ZnBr4
_chemical_formula_sum 'Tl4 Zn2 Br8'
_space_group_name_H-M_alt 'P 1 21 1'
_space_group_IT_number 4
_cell_length_a 7.5155
_cell_length_b 7.6874
_cell_length_c 9.1873
_cell_angle_alpha 90.00
_cell_angle_beta 108.31
_cell_angle_gamma 90.00
loop_
_space_group_symop_operation_xyz
'x,y,z'
'-x,y+1/2,-z'
loop_
_atom_site_label
_atom_site_fract_x
_atom_site_fract_y
_atom_site_fract_z
Tl1 0.2270 0.0000 0.0526
Tl2 0.2573 0.9867 0.5656
Zn1 0.2197 0.5419 0.7987
Br1 0.0177 0.2746 0.2701
Br2 0.0336 0.2759 0.7463
Br3 0.4007 0.5773 0.0675
Br4 0.4142 0.5697 0.6316
```

---

No. 2
Diffraction record for TcAgB4. The powder diffractogram is computed, not measured: it uses DFT lattice parameters and positions (PBE) and CuKα.

Top 12 peaks for 2θ = 10–90°, low angle first:
| 2θ (°) | intensity |
| --- | --- |
| 25.20 | 64 |
| 33.96 | 37 |
| 34.12 | 71 |
| 42.76 | 50 |
| 42.89 | 100 |
| 51.74 | 16 |
| 60.88 | 19 |
| 61.18 | 9 |
| 63.41 | 34 |
| 66.95 | 17 |
| 77.51 | 16 |
| 83.92 | 15 |

Crystal structure
```
data_TcAgB4
_chemical_formula_sum 'Tc2 Ag2 B8'
_space_group_name_H-M_alt 'I m m m'
_space_group_IT_number 71
_space_group_name_Hall '-I 2 2'
_cell_length_a 3.0299
_cell_length_b 5.2792
_cell_length_c 7.0668
_cell_angle_alpha 90.00
_cell_angle_beta 90.00
_cell_angle_gamma 90.00
loop_
_atom_site_label
_atom_site_fract_x
_atom_site_fract_y
_atom_site_fract_z
Tc1 0.0000 0.0000 0.0000
Ag1 0.0000 0.0000 0.5000
B1 0.0000 0.3358 0.2583
```

---

No. 3
Diffraction record for Al10Re3. The powder diffractogram is computed, not measured: it uses DFT lattice parameters and positions (PBE) and CuKα.

Top 12 peaks for 2θ = 10–90°, low angle first:
| 2θ (°) | intensity |
| --- | --- |
| 21.60 | 100 |
| 24.28 | 43 |
| 28.69 | 14 |
| 30.51 | 14 |
| 36.15 | 55 |
| 41.19 | 64 |
| 42.51 | 26 |
| 46.79 | 33 |
| 47.19 | 20 |
| 57.00 | 16 |
| 68.45 | 24 |
| 76.72 | 11 |

Crystal structure
```
data_Al10Re3
_chemical_formula_sum 'Al30 Re9'
_space_group_name_H-M_alt 'R -3 m'
_space_group_IT_number 166
_space_group_name_Hall '-R 3 2"'
_cell_length_a 4.9688
_cell_length_b 4.9688
_cell_length_c 28.0018
_cell_angle_alpha 90.00
_cell_angle_beta 90.00
_cell_angle_gamma 120.00
loop_
_atom_site_label
_atom_site_fract_x
_atom_site_fract_y
_atom_site_fract_z
Al1 0.0000 0.0000 0.1542
Al2 0.0000 0.0000 0.3352
Al3 0.0021 0.5011 0.9100
Re1 0.0000 0.0000 0.0430
Re2 0.0000 0.0000 0.5000
```

---

No. 4
Diffraction record for Sc2Al3SiPt2. The powder diffractogram is computed, not measured: it uses DFT lattice parameters and positions (PBE) and CuKα.

Top 12 peaks for 2θ = 10–90°, low angle first:
| 2θ (°) | intensity |
| --- | --- |
| 18.16 | 66 |
| 26.71 | 60 |
| 26.88 | 100 |
| 35.86 | 25 |
| 37.37 | 41 |
| 37.66 | 31 |
| 39.13 | 21 |
| 39.49 | 22 |
| 43.18 | 30 |
| 44.86 | 24 |
| 47.34 | 24 |
| 51.62 | 30 |

Crystal structure
```
data_Sc2Al3SiPt2
_chemical_formula_sum 'Sc4 Al6 Si2 Pt4'
_space_group_name_H-M_alt 'C 1 m 1'
_space_group_IT_number 8
_cell_length_a 9.7720
_cell_length_b 4.1899
_cell_length_c 6.6255
_cell_angle_alpha 90.00
_cell_angle_beta 90.79
_cell_angle_gamma 90.00
loop_
_space_group_symop_operation_xyz
'x,y,z'
'x,-y,z'
'x+1/2,y+1/2,z'
'x+1/2,-y+1/2,z'
loop_
_atom_site_label
_atom_site_fract_x
_atom_site_fract_y
_atom_site_fract_z
Sc1 0.0000 0.0000 0.0000
Sc2 0.1542 0.0000 0.5116
Al1 0.2135 0.5000 0.2014
Al2 0.4378 0.0000 0.3000
Al3 0.4514 0.0000 0.7025
Si1 0.2093 0.5000 0.8008
Pt1 0.2827 0.0000 0.9905
Pt2 0.3701 0.5000 0.5115
```

---

Question: Which formula does entry 3 have?
Answer: Al10Re3